Entry 1:
Diffraction record for Hg3Ir. The powder diffraction line list is simulated, not measured: it uses a crystal structure in the Materials Project, relaxed with PBE and a wavelength of 1.5418 Å.

Cell and atoms:
```
data_Hg3Ir
_chemical_formula_sum 'Hg6 Ir2'
_cell_length_a 4.153
_cell_length_b 4.153
_cell_length_c 9.196
_cell_angle_alpha 90.00
_cell_angle_beta 90.00
_cell_angle_gamma 90.00
_space_group_name_H-M_alt 'I 4/m m m'
_space_group_IT_number 139
_space_group_name_Hall '-I 4 2'
loop_
_atom_site_label
_atom_site_type_symbol
_atom_site_fract_x
_atom_site_fract_y
_atom_site_fract_z
_atom_site_occupancy
Hg1 Hg 0.000 0.000 0.000 1
Hg2 Hg 0.000 0.500 0.250 1
Ir1 Ir 0.000 0.000 0.500 1
```

Principal peaks in the range 2θ from 15° to 90°, in order of rising 2θ:
h k l, 2θ/deg, I/Imax
1 1 2, 36.30, 100.0
0 0 4, 39.19, 20.3
2 0 0, 43.59, 30.3
2 0 4, 60.04, 23.7
2 2 0, 63.34, 10.1
1 1 6, 69.14, 15.7
3 1 2, 75.25, 24.9
2 2 4, 77.07, 11.7
0 0 8, 84.24, 2.4

Entry 2:
Diffraction record for KHg2. The powder diffraction line list is simulated, not measured: it uses a crystal structure in the Materials Project, relaxed with PBE and a wavelength of 1.5418 Å.

Cell and atoms:
```
data_KHg2
_chemical_formula_sum 'K4 Hg8'
_cell_length_a 5.299
_cell_length_b 8.236
_cell_length_c 9.441
_cell_angle_alpha 90.00
_cell_angle_beta 90.00
_cell_angle_gamma 90.00
_space_group_name_H-M_alt 'I m m a'
_space_group_IT_number 74
_space_group_name_Hall '-I 2b 2'
loop_
_atom_site_label
_atom_site_type_symbol
_atom_site_fract_x
_atom_site_fract_y
_atom_site_fract_z
_atom_site_occupancy
K1 K 0.000 0.250 0.049 1
Hg1 Hg 0.000 0.054 0.663 1
```

Principal peaks in the range 2θ from 15° to 90°, in order of rising 2θ:
h k l, 2θ/deg, I/Imax
1 0 1, 19.21, 57.4
0 2 0, 21.58, 57.0
1 1 2, 27.53, 36.3
1 2 1, 29.05, 63.1
1 0 3, 33.11, 100.0
2 0 0, 33.83, 51.1
0 3 1, 34.01, 47.9
1 2 3, 39.86, 55.8
1 3 2, 41.70, 47.1
2 3 1, 48.73, 35.3

Entry 3:
Diffraction record for K5Hg7. The powder diffraction line list is simulated, not measured: it uses a crystal structure in the Materials Project, relaxed with PBE and a wavelength of 1.5418 Å.

Cell and atoms:
```
data_K5Hg7
_chemical_formula_sum 'K20 Hg28'
_cell_length_a 10.319
_cell_length_b 19.810
_cell_length_c 8.527
_cell_angle_alpha 90.00
_cell_angle_beta 90.00
_cell_angle_gamma 90.00
_space_group_name_H-M_alt 'P b c m'
_space_group_IT_number 57
_space_group_name_Hall '-P 2c 2b'
loop_
_atom_site_label
_atom_site_type_symbol
_atom_site_fract_x
_atom_site_fract_y
_atom_site_fract_z
_atom_site_occupancy
K1 K 0.006 0.109 0.250 1
K2 K 0.106 0.588 0.750 1
K3 K 0.185 0.209 0.750 1
K4 K 0.427 0.728 0.750 1
K5 K 0.479 0.517 0.750 1
Hg1 Hg 0.126 0.750 0.000 1
Hg2 Hg 0.196 0.028 0.565 1
Hg3 Hg 0.320 0.619 0.069 1
Hg4 Hg 0.370 0.143 0.067 1
```

Principal peaks in the range 2θ from 15° to 90°, in order of rising 2θ:
h k l, 2θ/deg, I/Imax
2 0 0, 17.19, 40.2
1 4 0, 19.89, 65.7
0 0 2, 20.83, 67.3
1 4 2, 28.97, 98.0
2 3 2, 30.36, 40.7
3 4 0, 31.67, 100.0
1 7 0, 32.81, 49.4
1 2 3, 33.94, 33.6
3 4 2, 38.22, 40.8
0 6 3, 41.94, 38.0

Entry 4:
Diffraction record for K3Hg11. The powder diffraction line list is simulated, not measured: it uses a crystal structure in the Materials Project, relaxed with PBE and a wavelength of 1.5418 Å.

Cell and atoms:
```
data_K3Hg11
_chemical_formula_sum 'K6 Hg22'
_cell_length_a 5.320
_cell_length_b 10.970
_cell_length_c 15.512
_cell_angle_alpha 90.00
_cell_angle_beta 90.00
_cell_angle_gamma 90.00
_space_group_name_H-M_alt 'I m m m'
_space_group_IT_number 71
_space_group_name_Hall '-I 2 2'
loop_
_atom_site_label
_atom_site_type_symbol
_atom_site_fract_x
_atom_site_fract_y
_atom_site_fract_z
_atom_site_occupancy
K1 K 0.000 0.000 0.000 1
K2 K 0.000 0.000 0.307 1
Hg1 Hg 0.000 0.200 0.500 1
Hg2 Hg 0.000 0.285 0.134 1
Hg3 Hg 0.000 0.360 0.331 1
Hg4 Hg 0.000 0.500 0.000 1
```

Principal peaks in the range 2θ from 15° to 90°, in order of rising 2θ:
h k l, 2θ/deg, I/Imax
0 2 0, 16.16, 62.2
1 1 0, 18.54, 49.0
0 1 3, 18.97, 38.4
1 2 3, 29.07, 100.0
1 3 2, 31.86, 63.3
2 0 0, 33.69, 78.8
0 0 6, 34.70, 52.2
1 2 5, 37.34, 65.7
1 3 4, 37.81, 67.8
2 0 6, 49.14, 39.6

Entry 5:
Diffraction record for KHg11. The powder diffraction line list is simulated, not measured: it uses a crystal structure in the Materials Project, relaxed with PBE and a wavelength of 1.5418 Å.

Cell and atoms:
```
data_KHg11
_chemical_formula_sum 'K3 Hg33'
_cell_length_a 10.379
_cell_length_b 10.379
_cell_length_c 10.379
_cell_angle_alpha 90.00
_cell_angle_beta 90.00
_cell_angle_gamma 90.00
_space_group_name_H-M_alt 'P m -3 m'
_space_group_IT_number 221
_space_group_name_Hall '-P 4 2 3'
loop_
_atom_site_label
_atom_site_type_symbol
_atom_site_fract_x
_atom_site_fract_y
_atom_site_fract_z
_atom_site_occupancy
K1 K 0.000 0.000 0.500 1
Hg1 Hg 0.000 0.345 0.345 1
Hg2 Hg 0.153 0.153 0.153 1
Hg3 Hg 0.268 0.268 0.500 1
Hg4 Hg 0.500 0.500 0.500 1
```

Principal peaks in the range 2θ from 15° to 90°, in order of rising 2θ:
h k l, 2θ/deg, I/Imax
3 1 0, 27.17, 20.8
3 1 1, 28.52, 34.1
2 2 2, 29.82, 42.2
3 2 0, 31.07, 25.4
4 1 0, 35.67, 100.0
3 3 0, 36.74, 62.2
4 2 1, 39.80, 32.3
5 4 0, 56.80, 35.2
6 3 3, 66.16, 32.1
7 6 2, 88.97, 15.0

Entry 6:
Diffraction record for K7Hg31. The powder diffraction line list is simulated, not measured: it uses a crystal structure in the Materials Project, relaxed with PBE and a wavelength of 1.5418 Å.

Cell and atoms:
```
data_K7Hg31
_chemical_formula_sum 'K7 Hg31'
_cell_length_a 11.5337
_cell_length_b 11.5337
_cell_length_c 10.3762
_cell_angle_alpha 90.00
_cell_angle_beta 90.00
_cell_angle_gamma 120.00
_space_group_name_H-M_alt 'P -6 m 2'
_space_group_IT_number 187
_space_group_name_Hall 'P -6 2'
loop_
_atom_site_label
_atom_site_type_symbol
_atom_site_fract_x
_atom_site_fract_y
_atom_site_fract_z
_atom_site_occupancy
K1 K 0.0000 0.0000 0.0000 1
K2 K 0.1676 0.3353 0.5000 1
K3 K 0.3333 0.6667 0.0000 1
K4 K 0.6667 0.3333 0.2032 1
Hg1 Hg 0.0000 0.0000 0.3586 1
Hg2 Hg 0.0221 0.5111 0.3004 1
Hg3 Hg 0.1713 0.3425 0.1672 1
Hg4 Hg 0.2901 0.1450 0.2653 1
Hg5 Hg 0.3333 0.6667 0.3538 1
Hg6 Hg 0.3992 0.0633 0.0000 1
Hg7 Hg 0.4728 0.2364 0.5000 1
```

Principal peaks in the range 2θ from 15° to 90°, in order of rising 2θ:
h k l, 2θ/deg, I/Imax
1 1 1, 17.59, 43.8
2 1 2, 29.26, 41.2
2 2 0, 31.01, 88.0
2 0 3, 31.46, 100.0
3 0 2, 31.94, 24.5
2 2 2, 35.62, 80.5
4 0 1, 37.03, 44.2
3 0 3, 37.49, 21.3
4 2 3, 55.45, 43.1
4 3 4, 67.51, 21.4

Entry 7:
Diffraction record for KHg6. The powder diffraction line list is simulated, not measured: it uses a crystal structure in the Materials Project, relaxed with PBE and a wavelength of 1.5418 Å.

Cell and atoms:
```
data_KHg6
_chemical_formula_sum 'K4 Hg24'
_cell_length_a 14.063
_cell_length_b 5.720
_cell_length_c 10.951
_cell_angle_alpha 90.00
_cell_angle_beta 90.00
_cell_angle_gamma 90.00
_space_group_name_H-M_alt 'P n m a'
_space_group_IT_number 62
_space_group_name_Hall '-P 2ac 2n'
loop_
_atom_site_label
_atom_site_type_symbol
_atom_site_fract_x
_atom_site_fract_y
_atom_site_fract_z
_atom_site_occupancy
K1 K 0.182 0.250 0.129 1
Hg1 Hg 0.007 0.750 0.123 1
Hg2 Hg 0.044 0.750 0.645 1
Hg3 Hg 0.097 0.750 0.370 1
Hg4 Hg 0.136 0.750 0.903 1
Hg5 Hg 0.152 0.250 0.502 1
Hg6 Hg 0.195 0.250 0.776 1
```

Principal peaks in the range 2θ from 15° to 90°, in order of rising 2θ:
h k l, 2θ/deg, I/Imax
1 0 2, 17.38, 23.0
3 1 2, 29.55, 83.6
1 1 3, 29.72, 41.1
4 1 0, 29.83, 62.1
0 2 0, 31.28, 100.0
2 0 4, 35.18, 29.6
5 1 1, 36.53, 31.4
2 1 4, 38.64, 75.1
5 1 2, 39.31, 45.6
2 2 4, 47.77, 25.5

Number 1 is which compound? Hg3Ir